This entry pairs a crystal structure of TmVSi2O8 with its computed powder XRD pattern. Radiation: Cu Kα (weighted mean of Kα1 and Kα2). Structure: DFT lattice parameters and positions (PBE+U).
No peak broadening, texture or thermal motion is included.

The 12 most intense peaks (2θ from 15° to 90°), by angle:
Position (°2θ)	intensity	h k l
19.0	29	1 1 0
20.1	82	1 0 1
26.9	100	2 0 0
33.9	31	2 1 1
35.9	60	1 1 2
40.9	16	2 0 2
43.8	26	3 0 1
48.0	18	1 0 3
52.2	22	3 2 1
53.6	56	3 1 2
55.6	15	4 0 0
67.9	18	3 3 2

Structure:
```
data_TmVSi2O8
_symmetry_space_group_name_H-M 'I -4 m 2'
_symmetry_Int_Tables_number 119
_symmetry_space_group_name_Hall 'I -4 -2'
_cell_length_a 6.617
_cell_length_b 6.617
_cell_length_c 5.930
_cell_angle_alpha 90.00
_cell_angle_beta 90.00
_cell_angle_gamma 90.00
loop_
_atom_site_label
_atom_site_fract_x
_atom_site_fract_y
_atom_site_fract_z
Tm1 0.000 0.000 0.000
V1 0.000 0.500 0.750
Si1 0.000 0.000 0.500
Si2 0.000 0.500 0.250
O1 0.000 0.196 0.673
O2 0.000 0.326 0.056
```